# PaMnSeO2
Calculated powder diffractogram, Cu Kα X-rays. Input: a GGA+U-relaxed structure.
Kinematic intensities with the Lorentz-polarization factor, no thermal factor.

Peak list (10 most intense, 10° ≤ 2θ ≤ 90°, sorted by position)
hkl  two_theta  Rel. int.
0 0 1  12.9  99
2 0 -1  26.0  35
1 1 0  26.6  100
2 0 -2  29.2  73
1 1 1  32.4  37
1 1 -2  32.5  40
0 1 2  34.4  34
1 0 2  35.2  40
3 1 -2  46.2  42
1 2 2  58.6  36

Structure:
Cell lengths 6.857, 4.005, 7.645 Å; angles 90.00, 116.24, 90.00 degrees
Fractional coordinates of all 10 atoms:
Pa (0.191, 0.250, 0.438)
Pa (0.809, 0.750, 0.562)
Mn (0.157, 0.250, 0.948)
Mn (0.843, 0.750, 0.052)
Se (0.485, 0.750, 0.730)
Se (0.515, 0.250, 0.270)
O (0.004, 0.750, 0.383)
O (0.017, 0.750, 0.872)
O (0.983, 0.250, 0.128)
O (0.996, 0.250, 0.617)